Record 1
For AlB6C, a PBE-relaxed structure gives the simulated X-ray powder pattern in this record (copper Kα).
No peak broadening, texture or thermal motion is included.

Cell and atoms:
Unit cell a=4.266 b=4.266 c=3.874 alpha=105.07 beta=105.07 gamma=78.39
Positions (direct):
Al 0.000 0.000 0.000
B 0.134 0.590 0.448
B 0.410 0.866 0.552
B 0.462 0.462 0.208
B 0.538 0.538 0.792
B 0.590 0.134 0.448
B 0.866 0.410 0.552
C 0.000 0.000 0.500

The 6 most intense peaks (2θ = 10–90°), low angle first:
| two_theta | Rel. int. |
| --- | --- |
| 21.80 | 54.9 |
| 28.66 | 100.0 |
| 41.65 | 69.9 |
| 44.44 | 72.1 |
| 50.09 | 35.8 |
| 69.75 | 43.7 |


Record 2
For Tl6Hg23Sb, a PBE-relaxed structure gives the simulated X-ray powder pattern in this record (copper Kα).
No peak broadening, texture or thermal motion is included.

Cell and atoms:
Unit cell a=10.703 b=10.703 c=10.703 alpha=60.00 beta=60.00 gamma=60.00
Positions (direct):
Tl 0.215 0.215 0.785
Tl 0.215 0.785 0.215
Tl 0.215 0.785 0.785
Tl 0.785 0.215 0.215
Tl 0.785 0.215 0.785
Tl 0.785 0.785 0.215
Hg 0.000 0.000 0.500
Hg 0.000 0.500 0.000
Hg 0.000 0.500 0.500
Hg 0.143 0.619 0.619
Hg 0.159 0.159 0.159
Hg 0.159 0.159 0.523
Hg 0.159 0.523 0.159
Hg 0.381 0.381 0.381
Hg 0.381 0.381 0.857
Hg 0.381 0.857 0.381
Hg 0.477 0.841 0.841
Hg 0.500 0.000 0.000
Hg 0.500 0.000 0.500
Hg 0.500 0.500 0.000
Hg 0.500 0.500 0.500
Hg 0.523 0.159 0.159
Hg 0.619 0.143 0.619
Hg 0.619 0.619 0.143
Hg 0.619 0.619 0.619
Hg 0.841 0.477 0.841
Hg 0.841 0.841 0.477
Hg 0.841 0.841 0.841
Hg 0.857 0.381 0.381
Sb 0.000 0.000 0.000

The 6 most intense peaks (2θ = 10–90°), low angle first:
| two_theta | Rel. int. |
| --- | --- |
| 30.69 | 33.5 |
| 33.49 | 100.0 |
| 46.06 | 9.9 |
| 48.09 | 10.7 |
| 59.87 | 19.9 |
| 63.58 | 10.4 |


Record 3
For La6TbHg12, a PBE-relaxed structure gives the simulated X-ray powder pattern in this record (copper Kα).
No peak broadening, texture or thermal motion is included.

Cell and atoms:
Unit cell a=8.770 b=8.770 c=8.770 alpha=107.31 beta=107.31 gamma=107.31
Positions (direct):
La 0.002 0.271 0.427
La 0.271 0.427 0.002
La 0.427 0.002 0.271
La 0.573 0.998 0.729
La 0.729 0.573 0.998
La 0.998 0.729 0.573
Tb 0.500 0.500 0.500
Hg 0.064 0.921 0.312
Hg 0.079 0.688 0.936
Hg 0.243 0.656 0.362
Hg 0.312 0.064 0.921
Hg 0.344 0.638 0.757
Hg 0.362 0.243 0.656
Hg 0.638 0.757 0.344
Hg 0.656 0.362 0.243
Hg 0.688 0.936 0.079
Hg 0.757 0.344 0.638
Hg 0.921 0.312 0.064
Hg 0.936 0.079 0.688

The 6 most intense peaks (2θ = 10–90°), low angle first:
| two_theta | Rel. int. |
| --- | --- |
| 30.50 | 39.6 |
| 33.57 | 100.0 |
| 35.51 | 33.5 |
| 37.80 | 41.3 |
| 54.84 | 20.1 |
| 67.96 | 17.6 |